Cs2Co3NiF12: simulated XRD peak list (CuKα), based on a DFT-relaxed cell (PBE+U, Alexandria).

Structural model:
Cell lengths 7.3932, 7.3932, 17.8994 Å; angles 90.00, 90.00, 120.00 degrees
Space group R-3m (No. 166, hexagonal axes)
Asymmetric unit:
1 Cs 0.0000 0.0000 0.1258
2 Co 0.0000 0.5000 0.0000
3 Ni 0.0000 0.0000 0.5000
4 F 0.0683 0.5341 0.1048
5 F 0.0740 0.5370 0.3563

Top 8 peaks for 2θ from 5° to 70°, in order of rising 2θ:
Position (°2θ), I/Imax, hkl
24.07, 22.4, 1 1 0
24.27, 21.6, 1 0 4
28.38, 100.0, 1 1 3
28.57, 31.1, 0 1 5
29.64, 18.2, 2 0 2
45.12, 22.4, 3 0 3
49.30, 25.4, 2 2 0
49.72, 23.7, 2 0 8